Starting from DFT lattice parameters and positions (PBE), the X-ray powder pattern of Dy2Al12Au7 was simulated for Cu Kα X-rays.
Intensities are scaled so that the largest is 100.

The 10 most intense peaks (15° ≤ 2θ ≤ 90°), in order of falling intensity:
- 25.9 deg, 3.444 Å, intensity 100, hkl 2 1 0
- 34.2 deg, 2.625 Å, intensity 82, hkl 3 -1 1
- 29.5 deg, 3.030 Å, intensity 82, hkl 0 2 1
- 45.6 deg, 1.988 Å, intensity 70, hkl 1 4 0
- 27.8 deg, 3.212 Å, intensity 47, hkl 1 1 1
- 42.1 deg, 2.145 Å, intensity 37, hkl 4 -3 1
- 49.0 deg, 1.858 Å, intensity 33, hkl 3 2 1
- 65.8 deg, 1.420 Å, intensity 24, hkl 5 -1 2
- 52.4 deg, 1.747 Å, intensity 21, hkl 3 -2 2
- 37.0 deg, 2.431 Å, intensity 20, hkl 3 0 1

Structural model:
Lattice parameters (Å, degrees): 10.521 10.521 4.055 90.00 90.00 120.00
Atoms (fractional coordinates):
Dy (0.333, 0.667, 0.266)
Dy (0.667, 0.333, 0.734)
Al (0.049, 0.435, 0.749)
Al (0.111, 0.266, 0.259)
Al (0.155, 0.889, 0.259)
Al (0.266, 0.155, 0.741)
Al (0.385, 0.951, 0.749)
Al (0.435, 0.385, 0.251)
Al (0.565, 0.615, 0.749)
Al (0.615, 0.049, 0.251)
Al (0.734, 0.845, 0.259)
Al (0.845, 0.111, 0.741)
Al (0.889, 0.734, 0.741)
Al (0.951, 0.565, 0.251)
Au (0.000, 0.000, 0.500)
Au (0.128, 0.712, 0.762)
Au (0.288, 0.416, 0.762)
Au (0.416, 0.128, 0.238)
Au (0.584, 0.872, 0.762)
Au (0.712, 0.584, 0.238)
Au (0.872, 0.288, 0.238)